# 1
Ag2As2Pd3: calculated X-ray powder pattern (Cu Kα (λ = 1.5418 Å)), based on a DFT-relaxed cell (PBE, Alexandria).

Principal peaks in the range 5° ≤ 2θ ≤ 70°, in order of rising 2θ:
2θ = 16.4°, I = 11; 2θ = 36.6°, I = 100; 2θ = 37.9°, I = 35; 2θ = 38.2°, I = 13; 2θ = 40.5°, I = 12; 2θ = 41.2°, I = 52; 2θ = 43.1°, I = 68; 2θ = 46.5°, I = 15; 2θ = 58.5°, I = 15; 2θ = 67.6°, I = 11

Structural model:
```
data_Ag2As2Pd3
_space_group_name_H-M_alt 'C 1 2/m 1'
_space_group_IT_number 12
_space_group_name_Hall '-C 2y'
_cell_length_a 11.858
_cell_length_b 3.158
_cell_length_c 7.130
_cell_angle_alpha 90.00
_cell_angle_beta 114.45
_cell_angle_gamma 90.00
loop_
_atom_site_label
_atom_site_fract_x
_atom_site_fract_y
_atom_site_fract_z
Ag1 0.087 0.000 0.237
As1 0.186 0.000 0.703
Pd1 0.000 0.500 0.500
Pd2 0.136 0.500 0.942
```

***

# 2
Nd3TeI3: calculated X-ray powder pattern (Cu Kα (λ = 1.5418 Å)), based on a DFT-relaxed cell (PBE, Alexandria).

Principal peaks in the range 5° ≤ 2θ ≤ 70°, in order of rising 2θ:
2θ = 9.9°, I = 17; 2θ = 26.3°, I = 12; 2θ = 28.1°, I = 100; 2θ = 33.1°, I = 8; 2θ = 40.2°, I = 74; 2θ = 49.8°, I = 25; 2θ = 53.0°, I = 7; 2θ = 57.2°, I = 6; 2θ = 58.2°, I = 12; 2θ = 65.8°, I = 31

Structural model:
```
data_Nd3TeI3
_space_group_name_H-M_alt 'R 3 2'
_space_group_IT_number 155
_space_group_name_Hall 'R 3 2"'
_cell_length_a 17.9353
_cell_length_b 17.9353
_cell_length_c 10.9950
_cell_angle_alpha 90.00
_cell_angle_beta 90.00
_cell_angle_gamma 120.00
loop_
_atom_site_label
_atom_site_fract_x
_atom_site_fract_y
_atom_site_fract_z
Nd1 0.0000 0.2614 0.0000
Nd2 0.0000 0.4885 0.0000
Nd3 0.0758 0.1630 0.6511
Te1 0.0000 0.0000 0.5000
Te2 0.0000 0.2502 0.5000
I1 0.0000 0.5070 0.5000
I2 0.0000 0.7428 0.5000
I3 0.0786 0.9144 0.1576
```

***

# 3
Pu2AlZn4Cu3: calculated X-ray powder pattern (Cu Kα (λ = 1.5418 Å)), based on a DFT-relaxed cell (PBE, Alexandria).

Principal peaks in the range 5° ≤ 2θ ≤ 70°, in order of rising 2θ:
2θ = 15.7°, I = 23; 2θ = 23.8°, I = 30; 2θ = 31.9°, I = 30; 2θ = 32.8°, I = 77; 2θ = 35.7°, I = 100; 2θ = 45.8°, I = 42; 2θ = 46.2°, I = 44; 2θ = 57.4°, I = 32; 2θ = 66.7°, I = 13; 2θ = 67.1°, I = 29

Structural model:
```
data_Pu2AlZn4Cu3
_space_group_name_H-M_alt 'P -4 m 2'
_space_group_IT_number 115
_space_group_name_Hall 'P -4 -2'
_cell_length_a 3.966
_cell_length_b 3.966
_cell_length_c 11.312
_cell_angle_alpha 90.00
_cell_angle_beta 90.00
_cell_angle_gamma 90.00
loop_
_atom_site_label
_atom_site_fract_x
_atom_site_fract_y
_atom_site_fract_z
Pu1 0.000 0.500 0.242
Al1 0.000 0.000 0.500
Zn1 0.000 0.000 0.000
Zn2 0.000 0.500 0.642
Zn3 0.500 0.500 0.000
Cu1 0.000 0.500 0.861
Cu2 0.500 0.500 0.500
```

***

# 4
CdGeBi2O6: calculated X-ray powder pattern (Cu Kα (λ = 1.5418 Å)), based on a DFT-relaxed cell (PBE, Alexandria).

Principal peaks in the range 5° ≤ 2θ ≤ 70°, in order of rising 2θ:
2θ = 16.8°, I = 11; 2θ = 28.7°, I = 100; 2θ = 31.3°, I = 15; 2θ = 33.9°, I = 13; 2θ = 34.6°, I = 12; 2θ = 46.8°, I = 14; 2θ = 47.4°, I = 12; 2θ = 49.2°, I = 12; 2θ = 54.2°, I = 13; 2θ = 57.5°, I = 14

Structural model:
```
data_CdGeBi2O6
_space_group_name_H-M_alt 'P b c n'
_space_group_IT_number 60
_space_group_name_Hall '-P 2n 2ab'
_cell_length_a 10.578
_cell_length_b 10.365
_cell_length_c 5.713
_cell_angle_alpha 90.00
_cell_angle_beta 90.00
_cell_angle_gamma 90.00
loop_
_atom_site_label
_atom_site_fract_x
_atom_site_fract_y
_atom_site_fract_z
Cd1 0.000 0.114 0.250
Ge1 0.000 0.346 0.750
Bi1 0.241 0.393 0.215
O1 0.079 0.250 0.535
O2 0.122 0.444 0.874
O3 0.146 0.030 0.014
```

***

Please write out number 4 again, unchanged.
CdGeBi2O6: calculated X-ray powder pattern (Cu Kα (λ = 1.5418 Å)), based on a DFT-relaxed cell (PBE, Alexandria).

Principal peaks in the range 5° ≤ 2θ ≤ 70°, in order of rising 2θ:
2θ = 16.8°, I = 11; 2θ = 28.7°, I = 100; 2θ = 31.3°, I = 15; 2θ = 33.9°, I = 13; 2θ = 34.6°, I = 12; 2θ = 46.8°, I = 14; 2θ = 47.4°, I = 12; 2θ = 49.2°, I = 12; 2θ = 54.2°, I = 13; 2θ = 57.5°, I = 14

Structural model:
```
data_CdGeBi2O6
_space_group_name_H-M_alt 'P b c n'
_space_group_IT_number 60
_space_group_name_Hall '-P 2n 2ab'
_cell_length_a 10.578
_cell_length_b 10.365
_cell_length_c 5.713
_cell_angle_alpha 90.00
_cell_angle_beta 90.00
_cell_angle_gamma 90.00
loop_
_atom_site_label
_atom_site_fract_x
_atom_site_fract_y
_atom_site_fract_z
Cd1 0.000 0.114 0.250
Ge1 0.000 0.346 0.750
Bi1 0.241 0.393 0.215
O1 0.079 0.250 0.535
O2 0.122 0.444 0.874
O3 0.146 0.030 0.014
```